Entry 1:
Structure and calculated PXRD pattern of Li2SnH10O8 (DFT lattice parameters and positions (PBE); Cu Ka).

```
42
Lattice="6.138 0.000 0.000 0.000 10.504 0.000 -2.862 0.000 5.382" Properties=species:S:1:pos:R:3 pbc="T T T"
Li 0.080 0.676 1.857
Li -1.351 4.576 4.548
Li 4.627 5.928 0.834
Li 3.196 9.828 3.525
Sn 3.069 0.000 0.000
Sn 1.638 5.252 2.691
H -1.859 1.381 3.762
H -0.428 3.871 1.071
H -0.979 6.563 3.498
H 0.452 9.193 0.806
H 0.172 7.305 1.976
H -1.259 8.451 4.668
H 0.109 2.178 3.832
H 1.540 3.074 1.141
H 2.331 6.545 0.614
H 0.900 9.211 3.305
H 2.376 1.293 2.077
H 0.945 3.959 4.768
H 1.736 7.430 4.241
H 3.167 8.326 1.550
H 4.535 2.053 0.715
H 3.104 3.199 3.406
H 2.824 1.311 4.576
H 4.255 3.941 1.885
H 3.704 6.633 4.311
H 5.135 9.123 1.620
O -1.423 6.622 4.407
O 0.008 9.134 1.715
O -0.067 6.361 2.156
O -1.499 9.395 4.847
O -0.240 1.251 3.732
O 1.191 4.001 1.041
O 1.884 1.221 1.219
O 0.453 4.031 3.910
O 2.823 6.473 1.472
O 1.392 9.283 4.163
O 2.085 6.503 4.342
O 3.516 9.253 1.651
O 4.774 1.109 0.535
O 3.343 4.143 3.226
O 3.268 1.370 3.667
O 4.699 3.882 0.976
```

The 10 most intense peaks (15° ≤ 2θ ≤ 90°), by angle:
d [Å], 2theta, I_rel, h k l
5.420, 16.36, 59, 1 0 0
5.252, 16.88, 76, 0 2 0
4.790, 18.52, 100, 0 1 1
4.691, 18.92, 90, 1 1 -1
3.772, 23.59, 53, 1 2 0
3.018, 29.60, 30, 1 1 1
2.940, 30.41, 62, 2 1 -1
2.912, 30.70, 28, 1 3 -1
2.635, 34.02, 24, 1 2 -2
1.879, 48.43, 19, 0 4 2



Entry 2:
Structure and calculated PXRD pattern of Li2SnH10O8 (DFT lattice parameters and positions (PBE); Cu Ka).

```
42
Lattice="5.063 0.000 0.000 0.000 7.071 0.000 -3.502 0.000 10.058" Properties=species:S:1:pos:R:3 pbc="T T T"
Li -0.010 1.595 1.784
Li -1.761 1.941 6.813
Li 3.322 5.130 3.245
Li 1.571 5.476 8.275
Sn 0.781 0.000 5.029
Sn 2.532 3.535 0.000
H 0.312 3.898 1.386
H -1.439 6.709 6.415
H -2.333 1.536 9.200
H -0.582 1.999 4.171
H -0.534 4.204 5.573
H 1.217 6.402 0.544
H 0.632 4.764 3.998
H -1.119 5.843 9.028
H -0.218 3.710 7.106
H 1.533 6.896 2.077
H 0.029 0.174 7.982
H 1.780 3.361 2.953
H 2.680 1.228 1.031
H 0.929 2.307 6.060
H 0.344 0.669 9.514
H 2.095 2.867 4.485
H 2.144 5.072 5.888
H 3.894 5.535 0.858
H 3.001 0.362 3.644
H 1.250 3.173 8.673
O -0.390 1.162 3.697
O -2.141 2.373 8.726
O -1.871 5.289 9.346
O -0.120 5.318 4.317
O 1.092 0.080 1.201
O -0.659 3.455 6.230
O -0.679 0.276 6.505
O 1.072 3.260 1.476
O 0.489 3.811 8.583
O 2.240 6.795 3.554
O 2.220 3.616 3.829
O 0.469 6.991 8.858
O 1.681 1.753 5.742
O 3.432 1.782 0.713
O 3.703 4.697 1.332
O 1.952 5.909 6.361
```

The 10 most intense peaks (15° ≤ 2θ ≤ 90°), by angle:
d [Å], 2theta, I_rel, h k l
5.785, 15.32, 100, 0 1 1
5.029, 17.64, 39, 0 0 2
4.782, 18.56, 36, 1 0 0
4.229, 21.01, 20, 1 0 -2
4.085, 21.76, 44, 1 1 -1
3.535, 25.19, 17, 0 2 0
3.385, 26.33, 19, 1 1 1
2.992, 29.86, 29, 1 1 -3
2.843, 31.47, 28, 1 2 0
2.291, 39.32, 33, 1 2 2